Entry 1:
AcTlSbBr: theoretical X-ray powder pattern (Cu Kα (weighted mean of Kα1 and Kα2)), based on a DFT-relaxed cell (PBE, Alexandria).
Kinematic intensities with the Lorentz-polarization factor, no thermal factor.

Most intense lines, 15° ≤ 2θ ≤ 90°, most intense first:
hkl  two_theta  d [Å]  Rel. int.
2 2 0  31.53  2.838  100.0
4 2 2  56.14  1.638  39.5
4 0 0  45.18  2.007  18.7
6 2 0  74.81  1.269  17.0
2 0 0  22.15  4.013  13.9
4 4 0  65.82  1.419  12.3
4 2 0  50.87  1.795  6.8
2 2 2  38.87  2.317  4.7

Atomic structure:
```
data_AcTlSbBr
_chemical_formula_sum 'Ac4 Tl4 Sb4 Br4'
_cell_length_a 8.0268
_cell_length_b 8.0268
_cell_length_c 8.0268
_cell_angle_alpha 90.00
_cell_angle_beta 90.00
_cell_angle_gamma 90.00
_symmetry_space_group_name_H-M 'F -4 3 m'
_symmetry_Int_Tables_number 216
_symmetry_space_group_name_Hall 'F -4 2 3'
loop_
_atom_site_label
_atom_site_fract_x
_atom_site_fract_y
_atom_site_fract_z
Ac1 0.0000 0.0000 0.0000
Tl1 0.0000 0.0000 0.5000
Sb1 0.2500 0.2500 0.7500
Br1 0.2500 0.2500 0.2500
```

=====

Entry 2:
Li7RuO6: theoretical X-ray powder pattern (Cu Kα (weighted mean of Kα1 and Kα2)), based on a DFT-relaxed cell (PBE, Alexandria).
Kinematic intensities with the Lorentz-polarization factor, no thermal factor.

Most intense lines, 15° ≤ 2θ ≤ 90°, most intense first:
hkl  two_theta  d [Å]  Rel. int.
1 0 0  22.18  4.008  100.0
0 0 1  17.70  5.011  94.2
0 1 0  19.55  4.541  75.1
1 -1 0  19.87  4.468  67.9
1 0 -1  20.05  4.428  61.3
-1 1 1  22.65  3.926  56.0
1 -2 1  37.53  2.396  38.6
1 1 0  37.18  2.418  38.3

Atomic structure:
```
data_Li7RuO6
_chemical_formula_sum 'Li7 Ru1 O6'
_cell_length_a 5.3523
_cell_length_b 5.4427
_cell_length_c 5.8327
_cell_angle_alpha 90.95
_cell_angle_beta 116.00
_cell_angle_gamma 119.20
_symmetry_space_group_name_H-M 'P 1'
_symmetry_Int_Tables_number 1
loop_
_symmetry_equiv_pos_as_xyz
'x,y,z'
loop_
_atom_site_label
_atom_site_fract_x
_atom_site_fract_y
_atom_site_fract_z
Li1 0.0000 0.0000 0.0000
Li2 0.0466 0.8515 0.4252
Li3 0.1511 0.2518 0.7241
Li4 0.4533 0.7472 0.0169
Li5 0.5877 0.1232 0.3780
Li6 0.6912 0.3535 0.0097
Li7 0.8967 0.5959 0.7402
Ru1 0.3064 0.5012 0.3865
O1 0.1412 0.7245 0.1425
O2 0.1650 0.5867 0.6220
O3 0.4141 0.3902 0.1248
O4 0.4553 0.2745 0.6124
O5 0.7663 0.8607 0.6019
O6 0.8534 0.1279 0.1859
```

=====

Entry 3:
Ce2PrTlIr: theoretical X-ray powder pattern (Cu Kα (weighted mean of Kα1 and Kα2)), based on a DFT-relaxed cell (PBE, Alexandria).
Kinematic intensities with the Lorentz-polarization factor, no thermal factor.

Most intense lines, 15° ≤ 2θ ≤ 90°, most intense first:
hkl  two_theta  d [Å]  Rel. int.
2 0 0  33.53  2.673  100.0
1 1 1  28.15  3.170  89.9
2 0 2  46.12  1.968  82.7
0 0 2  30.74  2.909  62.8
1 0 1  22.59  3.936  49.3
2 2 2  58.21  1.585  41.5
2 2 0  48.15  1.890  36.5
4 2 2  88.42  1.106  26.9

Atomic structure:
```
data_Ce2PrTlIr
_chemical_formula_sum 'Ce2 Pr1 Tl1 Ir1'
_cell_length_a 5.3456
_cell_length_b 5.3456
_cell_length_c 5.8176
_cell_angle_alpha 90.00
_cell_angle_beta 90.00
_cell_angle_gamma 90.00
_symmetry_space_group_name_H-M 'P 4 m m'
_symmetry_Int_Tables_number 99
loop_
_symmetry_equiv_pos_as_xyz
'x,y,z'
'-y,x,z'
'-x,-y,z'
'y,-x,z'
'-x,y,z'
'y,x,z'
'x,-y,z'
'-y,-x,z'
loop_
_atom_site_label
_atom_site_fract_x
_atom_site_fract_y
_atom_site_fract_z
Ce1 0.0000 0.5000 0.0000
Pr1 0.0000 0.0000 0.5003
Tl1 0.5000 0.5000 0.5015
Ir1 0.0000 0.0000 0.0003
```

=====

Entry 4:
Li2PAu2: theoretical X-ray powder pattern (Cu Kα (weighted mean of Kα1 and Kα2)), based on a DFT-relaxed cell (PBE, Alexandria).
Kinematic intensities with the Lorentz-polarization factor, no thermal factor.

Most intense lines, 15° ≤ 2θ ≤ 90°, most intense first:
hkl  two_theta  d [Å]  Rel. int.
2 1 0  25.80  3.453  100.0
2 1 1  42.27  2.138  77.0
3 1 0  36.85  2.439  50.5
1 1 0  16.24  5.459  34.1
5 2 1  74.85  1.269  21.6
0 0 1  32.91  2.722  21.2
4 0 1  58.64  1.574  21.0
3 3 0  50.18  1.818  20.6

Atomic structure:
```
data_Li2PAu2
_chemical_formula_sum 'Li4 P2 Au4'
_cell_length_a 7.7204
_cell_length_b 7.7204
_cell_length_c 2.7217
_cell_angle_alpha 90.00
_cell_angle_beta 90.00
_cell_angle_gamma 90.00
_symmetry_space_group_name_H-M 'P 4/m b m'
_symmetry_Int_Tables_number 127
_symmetry_space_group_name_Hall '-P 4 2ab'
loop_
_atom_site_label
_atom_site_fract_x
_atom_site_fract_y
_atom_site_fract_z
Li1 0.1602 0.3398 0.0000
P1 0.0000 0.0000 0.0000
Au1 0.1359 0.6359 0.5000
```

=====

Entry 5:
Ba2Au3: theoretical X-ray powder pattern (Cu Kα (weighted mean of Kα1 and Kα2)), based on a DFT-relaxed cell (PBE, Alexandria).
Kinematic intensities with the Lorentz-polarization factor, no thermal factor.

Most intense lines, 15° ≤ 2θ ≤ 90°, most intense first:
hkl  two_theta  d [Å]  Rel. int.
0 1 5  28.06  3.180  100.0
1 1 0  36.93  2.434  89.3
1 0 7  33.50  2.675  58.1
1 1 12  59.49  1.554  44.4
2 0 5  47.01  1.933  24.7
1 2 5  61.24  1.514  22.5
0 2 7  50.71  1.800  18.2
2 1 7  64.37  1.447  17.9

Atomic structure:
```
data_Ba2Au3
_chemical_formula_sum 'Ba6 Au9'
_cell_length_a 4.8679
_cell_length_b 4.8679
_cell_length_c 24.2233
_cell_angle_alpha 90.00
_cell_angle_beta 90.00
_cell_angle_gamma 120.00
_symmetry_space_group_name_H-M 'R -3 m'
_symmetry_Int_Tables_number 166
_symmetry_space_group_name_Hall '-R 3 2"'
loop_
_atom_site_label
_atom_site_fract_x
_atom_site_fract_y
_atom_site_fract_z
Ba1 0.0000 0.0000 0.0865
Au1 0.0000 0.0000 0.3335
Au2 0.0000 0.0000 0.5000
```

=====

Entry 6:
Tm4ScSb: theoretical X-ray powder pattern (Cu Kα (weighted mean of Kα1 and Kα2)), based on a DFT-relaxed cell (PBE, Alexandria).
Kinematic intensities with the Lorentz-polarization factor, no thermal factor.

Most intense lines, 15° ≤ 2θ ≤ 90°, most intense first:
hkl  two_theta  d [Å]  Rel. int.
1 1 2  34.60  2.592  100.0
2 0 0  35.60  2.522  47.7
1 1 0  24.96  3.567  42.1
3 1 2  63.30  1.469  34.6
0 0 2  23.58  3.774  23.9
2 0 2  43.14  2.097  19.9
2 0 4  61.36  1.511  18.6
2 2 0  51.23  1.783  18.0

Atomic structure:
```
data_Tm4ScSb
_chemical_formula_sum 'Tm4 Sc1 Sb1'
_cell_length_a 5.0443
_cell_length_b 5.0443
_cell_length_c 7.5473
_cell_angle_alpha 90.00
_cell_angle_beta 90.00
_cell_angle_gamma 90.00
_symmetry_space_group_name_H-M 'P 4/m m m'
_symmetry_Int_Tables_number 123
_symmetry_space_group_name_Hall '-P 4 2'
loop_
_atom_site_label
_atom_site_fract_x
_atom_site_fract_y
_atom_site_fract_z
Tm1 0.0000 0.5000 0.2421
Sc1 0.0000 0.0000 0.0000
Sb1 0.5000 0.5000 0.5000
```

=====

Entry 7:
Li2Al3Ga2: theoretical X-ray powder pattern (Cu Kα (weighted mean of Kα1 and Kα2)), based on a DFT-relaxed cell (PBE, Alexandria).
Kinematic intensities with the Lorentz-polarization factor, no thermal factor.

Most intense lines, 15° ≤ 2θ ≤ 90°, most intense first:
hkl  two_theta  d [Å]  Rel. int.
1 1 2  38.49  2.339  100.0
3 1 -1  38.92  2.314  97.0
1 1 0  24.35  3.656  57.6
0 2 0  45.38  1.998  37.5
4 0 1  44.00  2.058  33.9
2 0 -1  22.96  3.873  32.7
2 0 -3  45.61  1.989  30.5
1 3 2  79.22  1.209  22.9

Atomic structure:
```
data_Li2Al3Ga2
_chemical_formula_sum 'Li4 Al6 Ga4'
_cell_length_a 9.0860
_cell_length_b 3.9979
_cell_length_c 6.3435
_cell_angle_alpha 90.00
_cell_angle_beta 96.10
_cell_angle_gamma 90.00
_symmetry_space_group_name_H-M 'C 1 2/m 1'
_symmetry_Int_Tables_number 12
loop_
_symmetry_equiv_pos_as_xyz
'x,y,z'
'-x,-y,-z'
'-x,y,-z'
'x,-y,z'
'x+1/2,y+1/2,z'
'-x+1/2,-y+1/2,-z'
'-x+1/2,y+1/2,-z'
'x+1/2,-y+1/2,z'
loop_
_atom_site_label
_atom_site_fract_x
_atom_site_fract_y
_atom_site_fract_z
Li1 0.0730 0.0000 0.2159
Al1 0.0000 0.5000 0.5000
Al2 0.2139 0.0000 0.6464
Ga1 0.1411 0.5000 0.9263
```

=====

Entry 8:
Ba3Zn2Ga4: theoretical X-ray powder pattern (Cu Kα (weighted mean of Kα1 and Kα2)), based on a DFT-relaxed cell (PBE, Alexandria).
Kinematic intensities with the Lorentz-polarization factor, no thermal factor.

Most intense lines, 15° ≤ 2θ ≤ 90°, most intense first:
hkl  two_theta  d [Å]  Rel. int.
1 0 6  28.94  3.085  100.0
1 1 0  40.55  2.225  36.7
1 1 12  54.52  1.683  30.3
2 0 6  50.58  1.804  20.7
0 0 12  34.85  2.574  18.7
2 1 6  66.75  1.401  17.9
1 0 18  58.91  1.568  13.0
2 1 18  87.93  1.110  8.6

Atomic structure:
```
data_Ba3Zn2Ga4
_chemical_formula_sum 'Ba6 Zn4 Ga8'
_cell_length_a 4.4494
_cell_length_b 4.4494
_cell_length_c 30.8927
_cell_angle_alpha 90.00
_cell_angle_beta 90.00
_cell_angle_gamma 120.00
_symmetry_space_group_name_H-M 'P -6 m 2'
_symmetry_Int_Tables_number 187
_symmetry_space_group_name_Hall 'P -6 2'
loop_
_atom_site_label
_atom_site_fract_x
_atom_site_fract_y
_atom_site_fract_z
Ba1 0.0000 0.0000 0.0831
Ba2 0.0000 0.0000 0.2512
Ba3 0.0000 0.0000 0.4155
Zn1 0.3333 0.6667 0.0000
Zn2 0.6667 0.3333 0.0000
Zn3 0.6667 0.3333 0.3335
Ga1 0.3333 0.6667 0.1675
Ga2 0.3333 0.6667 0.3336
Ga3 0.3333 0.6667 0.5000
Ga4 0.6667 0.3333 0.1663
Ga5 0.6667 0.3333 0.5000
```

=====

Entry 9:
Rb2PaPb2O6: theoretical X-ray powder pattern (Cu Kα (weighted mean of Kα1 and Kα2)), based on a DFT-relaxed cell (PBE, Alexandria).
Kinematic intensities with the Lorentz-polarization factor, no thermal factor.

Most intense lines, 15° ≤ 2θ ≤ 90°, most intense first:
hkl  two_theta  d [Å]  Rel. int.
0 2 0  27.42  3.253  100.0
3 1 -1  28.38  3.145  63.2
1 1 -1  18.24  4.863  21.7
2 0 1  27.55  3.237  21.4
2 0 0  18.61  4.769  21.3
2 2 1  39.22  2.297  21.2
5 1 0  49.84  1.830  15.7
4 2 -3  49.62  1.837  14.7

Atomic structure:
```
data_Rb2PaPb2O6
_chemical_formula_sum 'Rb4 Pa2 Pb4 O12'
_cell_length_a 10.7712
_cell_length_b 6.5201
_cell_length_c 7.5566
_cell_angle_alpha 90.00
_cell_angle_beta 117.69
_cell_angle_gamma 90.00
_symmetry_space_group_name_H-M 'C 1 2/m 1'
_symmetry_Int_Tables_number 12
loop_
_symmetry_equiv_pos_as_xyz
'x,y,z'
'-x,-y,-z'
'-x,y,-z'
'x,-y,z'
'x+1/2,y+1/2,z'
'-x+1/2,-y+1/2,-z'
'-x+1/2,y+1/2,-z'
'x+1/2,-y+1/2,z'
loop_
_atom_site_label
_atom_site_fract_x
_atom_site_fract_y
_atom_site_fract_z
Rb1 0.2014 0.0000 0.1467
Pa1 0.0000 0.0000 0.5000
Pb1 0.0664 0.5000 0.2405
O1 0.0509 0.2368 0.7325
O2 0.2122 0.0000 0.5394
```